Tb3Th2ScAs6: calculated PXRD pattern (Cu Ka), based on a PBE-relaxed structure.
Neutral-atom scattering factors, no anomalous dispersion.

Structural model:
```
data_Tb3Th2ScAs6
_chemical_formula_sum 'Tb6 Th4 Sc2 As12'
_cell_length_a 18.0713
_cell_length_b 4.1583
_cell_length_c 8.2810
_cell_angle_alpha 90.00
_cell_angle_beta 103.45
_cell_angle_gamma 90.00
_space_group_name_H-M_alt 'C 1 2/m 1'
_space_group_IT_number 12
loop_
_space_group_symop_operation_xyz
'x,y,z'
'-x,-y,-z'
'-x,y,-z'
'x,-y,z'
'x+1/2,y+1/2,z'
'-x+1/2,-y+1/2,-z'
'-x+1/2,y+1/2,-z'
'x+1/2,-y+1/2,z'
loop_
_atom_site_label
_atom_site_type_symbol
_atom_site_fract_x
_atom_site_fract_y
_atom_site_fract_z
Tb1 Tb 0.0000 0.0000 0.0000
Tb2 Tb 0.1673 0.5000 0.3345
Th1 Th 0.1634 0.5000 0.8280
Sc1 Sc 0.0000 0.0000 0.5000
As1 As 0.0029 0.5000 0.2617
As2 As 0.1621 0.0000 0.5749
As3 As 0.1658 0.0000 0.0865
```

The 10 most intense peaks (15° ≤ 2θ ≤ 90°), low angle first:
26.29 deg, rel. 17
30.48 deg, rel. 100
43.58 deg, rel. 38
43.72 deg, rel. 37
54.11 deg, rel. 20
63.40 deg, rel. 8
71.95 deg, rel. 11
72.11 deg, rel. 16
80.01 deg, rel. 9
80.16 deg, rel. 10

***

Pm7SnC2: calculated PXRD pattern (Cu Ka), based on a PBE-relaxed structure.
Neutral-atom scattering factors, no anomalous dispersion.

Structural model:
```
data_Pm7SnC2
_chemical_formula_sum 'Pm21 Sn3 C6'
_cell_length_a 4.7147
_cell_length_b 4.7147
_cell_length_c 40.9134
_cell_angle_alpha 90.00
_cell_angle_beta 90.00
_cell_angle_gamma 120.00
_space_group_name_H-M_alt 'R -3 m'
_space_group_IT_number 166
_space_group_name_Hall '-R 3 2"'
loop_
_atom_site_label
_atom_site_type_symbol
_atom_site_fract_x
_atom_site_fract_y
_atom_site_fract_z
Pm1 Pm 0.0000 0.0000 0.0000
Pm2 Pm 0.0000 0.0000 0.1306
Pm3 Pm 0.0000 0.0000 0.2895
Pm4 Pm 0.0000 0.0000 0.4149
Sn1 Sn 0.0000 0.0000 0.5000
C1 C 0.0000 0.0000 0.0660
```

The 10 most intense peaks (15° ≤ 2θ ≤ 90°), low angle first:
26.63 deg, rel. 100
30.94 deg, rel. 34
32.57 deg, rel. 15
37.86 deg, rel. 42
38.18 deg, rel. 85
43.66 deg, rel. 17
47.16 deg, rel. 21
62.22 deg, rel. 19
67.85 deg, rel. 24
69.00 deg, rel. 15

***

RbY: calculated PXRD pattern (Cu Ka), based on a PBE-relaxed structure.
Neutral-atom scattering factors, no anomalous dispersion.

Structural model:
```
data_RbY
_chemical_formula_sum 'Rb8 Y8'
_cell_length_a 15.2526
_cell_length_b 15.2526
_cell_length_c 3.7509
_cell_angle_alpha 90.00
_cell_angle_beta 90.00
_cell_angle_gamma 90.00
_space_group_name_H-M_alt 'P 4/m'
_space_group_IT_number 83
loop_
_space_group_symop_operation_xyz
'x,y,z'
'-x,-y,-z'
'-y,x,z'
'y,-x,-z'
'-x,-y,z'
'x,y,-z'
'y,-x,z'
'-y,x,-z'
loop_
_atom_site_label
_atom_site_type_symbol
_atom_site_fract_x
_atom_site_fract_y
_atom_site_fract_z
Rb1 Rb 0.1179 0.8199 0.0000
Rb2 Rb 0.3285 0.3727 0.5000
Y1 Y 0.0711 0.3670 0.0000
Y2 Y 0.0983 0.5520 0.5000
```

The 10 most intense peaks (15° ≤ 2θ ≤ 90°), low angle first:
18.39 deg, rel. 29
23.33 deg, rel. 47
24.44 deg, rel. 33
24.77 deg, rel. 24
26.13 deg, rel. 52
27.13 deg, rel. 28
29.87 deg, rel. 23
31.89 deg, rel. 100
34.04 deg, rel. 35
41.88 deg, rel. 21

***

CdSn2S6: calculated PXRD pattern (Cu Ka), based on a PBE-relaxed structure.
Neutral-atom scattering factors, no anomalous dispersion.

Structural model:
```
data_CdSn2S6
_chemical_formula_sum 'Cd2 Sn4 S12'
_cell_length_a 6.1612
_cell_length_b 6.1612
_cell_length_c 11.5930
_cell_angle_alpha 90.00
_cell_angle_beta 90.00
_cell_angle_gamma 90.00
_space_group_name_H-M_alt 'P 42/m n m'
_space_group_IT_number 136
_space_group_name_Hall '-P 4n 2n'
loop_
_atom_site_label
_atom_site_type_symbol
_atom_site_fract_x
_atom_site_fract_y
_atom_site_fract_z
Cd1 Cd 0.0000 0.0000 0.0000
Sn1 Sn 0.0000 0.0000 0.3344
S1 S 0.1896 0.1896 0.5000
S2 S 0.1970 0.1970 0.1716
```

The 10 most intense peaks (15° ≤ 2θ ≤ 90°), low angle first:
20.38 deg, rel. 100
27.24 deg, rel. 56
30.93 deg, rel. 16
40.20 deg, rel. 80
41.45 deg, rel. 24
46.62 deg, rel. 14
50.31 deg, rel. 34
51.76 deg, rel. 17
67.16 deg, rel. 13
89.29 deg, rel. 13

***

KNb5Te8: calculated PXRD pattern (Cu Ka), based on a PBE-relaxed structure.
Neutral-atom scattering factors, no anomalous dispersion.

Structural model:
```
data_KNb5Te8
_chemical_formula_sum 'K2 Nb10 Te16'
_cell_length_a 20.1490
_cell_length_b 3.7129
_cell_length_c 10.0765
_cell_angle_alpha 90.00
_cell_angle_beta 104.65
_cell_angle_gamma 90.00
_space_group_name_H-M_alt 'C 1 2/m 1'
_space_group_IT_number 12
loop_
_space_group_symop_operation_xyz
'x,y,z'
'-x,-y,-z'
'-x,y,-z'
'x,-y,z'
'x+1/2,y+1/2,z'
'-x+1/2,-y+1/2,-z'
'-x+1/2,y+1/2,-z'
'x+1/2,-y+1/2,z'
loop_
_atom_site_label
_atom_site_type_symbol
_atom_site_fract_x
_atom_site_fract_y
_atom_site_fract_z
K1 K 0.0000 0.0000 0.0000
Nb1 Nb 0.0000 0.5000 0.5000
Nb2 Nb 0.1388 0.0000 0.5058
Nb3 Nb 0.2135 0.0000 0.8700
Te1 Te 0.0696 0.0000 0.7026
Te2 Te 0.0830 0.5000 0.3081
Te3 Te 0.1501 0.5000 0.0042
Te4 Te 0.2429 0.5000 0.6597
```

The 10 most intense peaks (15° ≤ 2θ ≤ 90°), low angle first:
28.93 deg, rel. 45
30.27 deg, rel. 100
31.29 deg, rel. 40
35.25 deg, rel. 39
36.72 deg, rel. 64
36.84 deg, rel. 32
36.93 deg, rel. 30
47.44 deg, rel. 39
49.07 deg, rel. 30
62.94 deg, rel. 25

***

Lu6Mg: calculated PXRD pattern (Cu Ka), based on a PBE-relaxed structure.
Neutral-atom scattering factors, no anomalous dispersion.

Structural model:
```
data_Lu6Mg
_chemical_formula_sum 'Lu12 Mg2'
_cell_length_a 8.5943
_cell_length_b 8.5943
_cell_length_c 8.5943
_cell_angle_alpha 90.00
_cell_angle_beta 90.00
_cell_angle_gamma 90.00
_space_group_name_H-M_alt 'I m -3 m'
_space_group_IT_number 229
_space_group_name_Hall '-I 4 2 3'
loop_
_atom_site_label
_atom_site_type_symbol
_atom_site_fract_x
_atom_site_fract_y
_atom_site_fract_z
Lu1 Lu 0.0000 0.2500 0.5000
Mg1 Mg 0.0000 0.0000 0.0000
```

The 10 most intense peaks (15° ≤ 2θ ≤ 90°), low angle first:
20.67 deg, rel. 41
25.39 deg, rel. 100
29.39 deg, rel. 26
32.96 deg, rel. 38
36.21 deg, rel. 98
39.22 deg, rel. 64
42.05 deg, rel. 54
54.44 deg, rel. 28
60.99 deg, rel. 36
73.03 deg, rel. 39